# 1
Li2Y3Pd5: simulated X-ray powder pattern (CuKα), based on a DFT-relaxed cell (GGA-PBE, Alexandria).

Structure:
abc: 9.945 9.945 3.685
angles: 90.00 90.00 90.00
Space group P4/mbm (No. 127)
One atom of each set of equivalent atoms:
Li (0.120, 0.380, 0.000)
Y (0.000, 0.000, 0.000)
Y (0.175, 0.675, 0.000)
Pd (0.000, 0.500, 0.500)
Pd (0.070, 0.216, 0.500)

Principal peaks in the range 2θ from 10° to 90°, by angle:
- 31.5 deg, I 65, hkl 2 1 1
- 32.5 deg, I 18, hkl 3 2 0
- 35.3 deg, I 34, hkl 2 2 1
- 37.3 deg, I 63, hkl 4 1 0
- 37.6 deg, I 100, hkl 3 1 1
- 40.6 deg, I 34, hkl 4 2 0
- 40.9 deg, I 33, hkl 3 2 1
- 49.5 deg, I 25, hkl 0 0 2
- 63.5 deg, I 25, hkl 4 1 2
- 71.9 deg, I 22, hkl 7 1 1

---

# 2
Li3Zn4Pd4: simulated X-ray powder pattern (CuKα), based on a DFT-relaxed cell (GGA-PBE, Alexandria).

Structure:
abc: 2.798 4.275 13.288
angles: 80.89 89.74 89.99
Space group P1 (No. 1)
One atom of each set of equivalent atoms:
Li (0.000, 0.000, 0.000)
Li (0.238, 0.358, 0.287)
Li (0.746, 0.642, 0.714)
Zn (0.244, 0.735, 0.529)
Zn (0.273, 0.912, 0.179)
Zn (0.713, 0.088, 0.822)
Zn (0.739, 0.265, 0.472)
Pd (0.233, 0.176, 0.647)
Pd (0.252, 0.551, 0.896)
Pd (0.732, 0.450, 0.103)
Pd (0.751, 0.824, 0.353)

Principal peaks in the range 2θ from 10° to 90°, by angle:
- 23.2 deg, I 69, hkl 0 1 -1
- 27.2 deg, I 21, hkl 0 0 4
- 32.7 deg, I 12, hkl 1 0 -1
- 38.1 deg, I 20, hkl 1 0 3
- 38.3 deg, I 12, hkl 1 0 -3
- 39.8 deg, I 13, hkl 1 1 -1
- 42.2 deg, I 40, hkl 1 -1 2
- 42.3 deg, I 100, hkl 0 2 1
- 43.4 deg, I 65, hkl 0 1 6
- 58.2 deg, I 11, hkl 1 2 4

---

# 3
LiZn6Pd2: simulated X-ray powder pattern (CuKα), based on a DFT-relaxed cell (GGA-PBE, Alexandria).

Structure:
abc: 7.478 4.312 8.019
angles: 90.00 90.08 90.00
Space group C2/m (No. 12)
One atom of each set of equivalent atoms:
Li (0.000, 0.000, 0.000)
Zn (0.000, 0.000, 0.328)
Zn (0.167, 0.500, 0.567)
Zn (0.167, 0.500, 0.902)
Pd (0.166, 0.500, 0.231)

Principal peaks in the range 2θ from 10° to 90°, by angle:
- 23.8 deg, I 11, hkl 2 0 0
- 26.3 deg, I 14, hkl 1 1 -1
- 41.5 deg, I 100, hkl 2 0 3
- 41.9 deg, I 93, hkl 3 1 0
- 60.4 deg, I 12, hkl 4 0 -3
- 60.5 deg, I 19, hkl 2 2 3
- 75.6 deg, I 13, hkl 1 1 6
- 76.2 deg, I 20, hkl 5 1 3
- 76.3 deg, I 11, hkl 1 3 -3
- 76.5 deg, I 15, hkl 6 0 0

---

# 4
LiZn4Pd3: simulated X-ray powder pattern (CuKα), based on a DFT-relaxed cell (GGA-PBE, Alexandria).

Structure:
abc: 13.936 4.154 4.154
angles: 90.00 107.22 90.00
Space group C2/m (No. 12)
One atom of each set of equivalent atoms:
Li (0.000, 0.000, 0.000)
Zn (0.124, 0.000, 0.625)
Zn (0.124, 0.500, 0.124)
Pd (0.000, 0.500, 0.500)
Pd (0.249, 0.500, 0.749)

Principal peaks in the range 2θ from 10° to 90°, by angle:
- 13.3 deg, I 11, hkl 2 0 0
- 22.4 deg, I 14, hkl 1 1 0
- 29.5 deg, I 6, hkl 4 0 -1
- 41.0 deg, I 100, hkl 3 1 1
- 43.6 deg, I 42, hkl 0 2 0
- 55.2 deg, I 10, hkl 8 0 0
- 63.3 deg, I 13, hkl 2 2 -2
- 72.8 deg, I 13, hkl 8 2 0
- 78.2 deg, I 7, hkl 1 1 3
- 78.3 deg, I 21, hkl 3 3 1

---

# 5
LiZn8Pd2: simulated X-ray powder pattern (CuKα), based on a DFT-relaxed cell (GGA-PBE, Alexandria).

Structure:
abc: 7.820 10.357 4.201
angles: 90.00 90.00 90.00
Space group Cmmm (No. 65)
One atom of each set of equivalent atoms:
Li (0.000, 0.000, 0.000)
Zn (0.000, 0.239, 0.000)
Zn (0.168, 0.130, 0.500)
Zn (0.168, 0.500, 0.000)
Pd (0.000, 0.368, 0.500)

Principal peaks in the range 2θ from 10° to 90°, by angle:
- 14.2 deg, I 26, hkl 1 1 0
- 21.1 deg, I 21, hkl 0 0 1
- 28.6 deg, I 21, hkl 2 2 0
- 35.5 deg, I 20, hkl 3 1 0
- 40.9 deg, I 100, hkl 0 4 1
- 41.7 deg, I 77, hkl 3 1 1
- 43.1 deg, I 44, hkl 0 0 2
- 43.5 deg, I 36, hkl 3 3 0
- 62.9 deg, I 27, hkl 3 3 2
- 86.8 deg, I 21, hkl 6 4 1

---

# 6
Li7ZnPd4: simulated X-ray powder pattern (CuKα), based on a DFT-relaxed cell (GGA-PBE, Alexandria).

Structure:
abc: 12.501 4.514 6.948
angles: 90.00 115.43 90.00
Space group C2/m (No. 12)
One atom of each set of equivalent atoms:
Li (0.000, 0.000, 0.000)
Li (0.080, 0.500, 0.436)
Li (0.199, 0.500, 0.856)
Li (0.218, 0.500, 0.242)
Zn (0.000, 0.500, 0.000)
Pd (0.072, 0.000, 0.712)
Pd (0.169, 0.000, 0.374)

Principal peaks in the range 2θ from 10° to 90°, by angle:
- 14.1 deg, I 44, hkl 0 0 1
- 21.2 deg, I 100, hkl 1 1 0
- 27.4 deg, I 52, hkl 1 1 1
- 30.9 deg, I 39, hkl 3 1 0
- 32.3 deg, I 58, hkl 4 0 -2
- 32.8 deg, I 97, hkl 1 1 -2
- 38.3 deg, I 40, hkl 3 1 1
- 39.9 deg, I 57, hkl 0 2 0
- 40.3 deg, I 48, hkl 4 0 1
- 41.4 deg, I 66, hkl 5 1 -1

---

# 7
Li7Zn5Pd: simulated X-ray powder pattern (CuKα), based on a DFT-relaxed cell (GGA-PBE, Alexandria).

Structure:
abc: 5.017 9.147 9.285
angles: 90.00 90.00 90.00
Space group Imm2 (No. 44)
One atom of each set of equivalent atoms:
Li (0.000, 0.000, 0.000)
Li (0.000, 0.000, 0.398)
Li (0.000, 0.277, 0.855)
Li (0.000, 0.357, 0.349)
Li (0.000, 0.500, 0.650)
Zn (0.000, 0.500, 0.081)
Zn (0.247, 0.243, 0.604)
Pd (0.000, 0.000, 0.706)

Principal peaks in the range 2θ from 10° to 90°, by angle:
- 13.6 deg, I 91, hkl 0 1 1
- 19.1 deg, I 100, hkl 0 0 2
- 27.4 deg, I 21, hkl 0 2 2
- 27.9 deg, I 16, hkl 1 1 2
- 39.4 deg, I 41, hkl 0 4 0
- 41.0 deg, I 44, hkl 2 2 0
- 43.7 deg, I 18, hkl 0 2 4
- 44.1 deg, I 36, hkl 0 4 2
- 45.6 deg, I 48, hkl 2 2 2
- 75.8 deg, I 12, hkl 4 0 0

---

# 8
Li2Zn2Pd5: simulated X-ray powder pattern (CuKα), based on a DFT-relaxed cell (GGA-PBE, Alexandria).

Structure:
abc: 14.958 6.210 5.657
angles: 90.00 90.00 90.00
Space group Ima2 (No. 46)
One atom of each set of equivalent atoms:
Li (0.053, 0.099, 0.000)
Zn (0.000, 0.000, 0.506)
Zn (0.250, 0.534, 0.961)
Pd (0.103, 0.748, 0.753)
Pd (0.158, 0.223, 0.723)
Pd (0.250, 0.566, 0.502)

Principal peaks in the range 2θ from 10° to 90°, by angle:
- 11.8 deg, I 47, hkl 2 0 0
- 24.4 deg, I 19, hkl 2 1 1
- 33.2 deg, I 28, hkl 5 1 0
- 37.7 deg, I 100, hkl 4 2 0
- 39.4 deg, I 33, hkl 3 1 2
- 40.0 deg, I 95, hkl 4 0 2
- 43.3 deg, I 89, hkl 0 2 2
- 44.9 deg, I 35, hkl 7 1 0
- 71.7 deg, I 22, hkl 7 3 2
- 78.6 deg, I 22, hkl 4 2 4

---

# 9
Li2Zn3Pd2: simulated X-ray powder pattern (CuKα), based on a DFT-relaxed cell (GGA-PBE, Alexandria).

Structure:
abc: 6.572 7.965 4.156
angles: 90.00 90.00 90.00
Space group Pbam (No. 55)
One atom of each set of equivalent atoms:
Li (0.249, 0.250, 0.000)
Zn (0.000, 0.000, 0.000)
Zn (0.189, 0.500, 0.500)
Pd (0.000, 0.204, 0.500)

Principal peaks in the range 2θ from 10° to 90°, by angle:
- 17.5 deg, I 23, hkl 1 1 0
- 21.4 deg, I 84, hkl 0 0 1
- 27.1 deg, I 19, hkl 2 0 0
- 35.4 deg, I 24, hkl 2 2 0
- 41.7 deg, I 100, hkl 2 2 1
- 42.7 deg, I 59, hkl 1 3 1
- 42.8 deg, I 24, hkl 3 1 0
- 43.6 deg, I 32, hkl 0 0 2
- 73.5 deg, I 18, hkl 3 5 0
- 89.5 deg, I 17, hkl 3 5 2

---

# 10
Li23Zn6Pd: simulated X-ray powder pattern (CuKα), based on a DFT-relaxed cell (GGA-PBE, Alexandria).

Structure:
abc: 12.751 12.751 12.751
angles: 90.00 90.00 90.00
Space group Fm-3m (No. 225)
One atom of each set of equivalent atoms:
Li (0.000, 0.000, 0.000)
Li (0.000, 0.250, 0.250)
Li (0.119, 0.119, 0.381)
Li (0.127, 0.127, 0.127)
Zn (0.000, 0.000, 0.251)
Pd (0.000, 0.000, 0.500)

Principal peaks in the range 2θ from 10° to 90°, by angle:
- 12.0 deg, I 36, hkl 1 1 1
- 13.9 deg, I 100, hkl 2 0 0
- 24.2 deg, I 48, hkl 2 2 2
- 28.0 deg, I 74, hkl 4 0 0
- 31.4 deg, I 54, hkl 4 2 0
- 40.0 deg, I 100, hkl 4 4 0
- 42.5 deg, I 30, hkl 4 4 2
- 47.3 deg, I 23, hkl 6 2 2
- 65.5 deg, I 25, hkl 8 4 0
- 72.7 deg, I 31, hkl 8 4 4

---

# 11
Li3Zn2Pd2: simulated X-ray powder pattern (CuKα), based on a DFT-relaxed cell (GGA-PBE, Alexandria).

Structure:
abc: 4.3117 4.3117 18.6897
angles: 90.00 90.00 120.00
Space group R-3m (No. 166, hexagonal axes)
One atom of each set of equivalent atoms:
Li (0.0000, 0.0000, 0.0000)
Li (0.0000, 0.0000, 0.1453)
Zn (0.0000, 0.0000, 0.2854)
Pd (0.0000, 0.0000, 0.4246)

Principal peaks in the range 2θ from 10° to 90°, by angle:
- 24.3 deg, I 100, hkl 1 0 1
- 28.7 deg, I 25, hkl 0 0 6
- 41.6 deg, I 72, hkl 1 0 7
- 41.9 deg, I 72, hkl 1 1 0
- 45.8 deg, I 14, hkl 0 1 8
- 49.0 deg, I 15, hkl 0 2 1
- 51.6 deg, I 29, hkl 1 1 6
- 60.5 deg, I 23, hkl 0 2 7
- 76.3 deg, I 23, hkl 2 1 7
- 76.5 deg, I 12, hkl 3 0 0

---

# 12
Li4Zn3Pd2: simulated X-ray powder pattern (CuKα), based on a DFT-relaxed cell (GGA-PBE, Alexandria).

Structure:
abc: 11.544 4.040 5.921
angles: 90.00 109.06 90.00
Space group C2/m (No. 12)
One atom of each set of equivalent atoms:
Li (0.055, 0.000, 0.336)
Li (0.224, 0.500, 0.314)
Zn (0.000, 0.500, 0.000)
Zn (0.117, 0.500, 0.685)
Pd (0.156, 0.000, 0.999)

Principal peaks in the range 2θ from 10° to 90°, by angle:
- 15.8 deg, I 66, hkl 0 0 1
- 18.6 deg, I 18, hkl 2 0 -1
- 26.9 deg, I 21, hkl 1 1 -1
- 33.1 deg, I 33, hkl 3 1 -1
- 40.4 deg, I 100, hkl 3 1 -2
- 44.9 deg, I 19, hkl 0 2 0
- 47.2 deg, I 15, hkl 6 0 -1
- 48.8 deg, I 14, hkl 0 0 3
- 52.4 deg, I 14, hkl 3 1 2
- 79.7 deg, I 13, hkl 3 3 -2